Record 1
Theoretical powder diffraction line list
Compound: Ho3CdIn3AgPt
Radiation: Cu Ka
Structure: a PBE-relaxed structure
No peak broadening, texture or thermal motion is included.

Main lines, in order of rising 2θ (2θ from 10° to 90°):
2theta  d_spacing  I/Imax
12.92  6.853  17
32.39  2.764  100
34.63  2.590  46
35.00  2.564  85
39.45  2.284  47
41.99  2.151  34
47.04  1.932  23
47.86  1.901  13
53.75  1.706  10
59.71  1.549  19
63.02  1.475  23
63.93  1.456  35

Crystal structure
Cell: 7.913 7.913 3.864 Å, 90.00 90.00 120.00°
Element x y z (fractional)
Ho (0.085, 0.363, 0.000)
Ho (0.278, 0.915, 0.000)
Ho (0.637, 0.722, 0.000)
Cd (0.000, 0.000, 0.500)
In (0.400, 0.327, 0.500)
In (0.673, 0.072, 0.500)
In (0.928, 0.600, 0.500)
Ag (0.667, 0.333, 0.000)
Pt (0.333, 0.667, 0.500)



Record 2
Theoretical powder diffraction line list
Compound: CdAg2I4
Radiation: Cu Ka
Structure: a PBE-relaxed structure
No peak broadening, texture or thermal motion is included.

Main lines, in order of rising 2θ (2θ from 10° to 90°):
2theta  d_spacing  I/Imax
23.77  3.744  100
31.54  2.837  6
39.19  2.299  25
39.36  2.289  50
46.35  1.959  31
46.64  1.947  15
56.62  1.625  8
62.27  1.491  6
62.51  1.486  12
71.13  1.325  16
71.47  1.320  8
76.09  1.251  7

Crystal structure
Cell: 6.502 6.502 12.899 Å, 90.00 90.00 90.00°
Element x y z (fractional)
Cd (0.000, 0.000, 0.000)
Cd (0.500, 0.500, 0.500)
Ag (0.000, 0.500, 0.250)
Ag (0.000, 0.500, 0.750)
Ag (0.500, 0.000, 0.250)
Ag (0.500, 0.000, 0.750)
I (0.238, 0.238, 0.618)
I (0.238, 0.762, 0.382)
I (0.262, 0.262, 0.118)
I (0.262, 0.738, 0.882)
I (0.738, 0.262, 0.882)
I (0.738, 0.738, 0.118)
I (0.762, 0.238, 0.382)
I (0.762, 0.762, 0.618)



Record 3
Theoretical powder diffraction line list
Compound: Li2Cd2In2AgIr
Radiation: Cu Ka
Structure: a PBE-relaxed structure
No peak broadening, texture or thermal motion is included.

Main lines, in order of rising 2θ (2θ from 10° to 90°):
2theta  d_spacing  I/Imax
13.37  6.621  6
23.39  3.804  52
38.60  2.332  100
38.75  2.324  50
45.50  1.994  9
45.75  1.983  18
55.52  1.655  8
55.96  1.643  17
61.26  1.513  7
69.75  1.348  16
70.05  1.343  33
82.77  1.166  10

Crystal structure
Cell: 4.648 4.648 6.621 Å, 90.00 90.00 90.00°
Element x y z (fractional)
Li (0.000, 0.000, 0.000)
Li (0.500, 0.500, 0.500)
Cd (0.000, 0.500, 0.743)
Cd (0.500, 0.000, 0.257)
In (0.000, 0.500, 0.264)
In (0.500, 0.000, 0.736)
Ag (0.500, 0.500, 0.000)
Ir (0.000, 0.000, 0.500)



Record 4
Theoretical powder diffraction line list
Compound: Nd3CdIn2AgPd2
Radiation: Cu Ka
Structure: a PBE-relaxed structure
No peak broadening, texture or thermal motion is included.

Main lines, in order of rising 2θ (2θ from 10° to 90°):
2theta  d_spacing  I/Imax
31.67  2.825  96
34.40  2.607  100
35.06  2.559  49
39.94  2.257  35
41.64  2.169  24
44.33  2.044  26
53.68  1.707  11
57.73  1.597  23
61.18  1.515  19
64.05  1.454  11
64.18  1.451  21
73.64  1.286  14

Crystal structure
Cell: 4.087 7.813 7.813 Å, 119.86 90.00 90.00°
Element x y z (fractional)
Nd (0.000, 0.000, 0.000)
Nd (0.000, 0.171, 0.585)
Nd (0.000, 0.585, 0.171)
Cd (0.500, 0.326, 0.326)
In (0.500, 0.585, 0.842)
In (0.500, 0.842, 0.585)
Ag (0.000, 0.585, 0.585)
Pd (0.500, 0.251, 0.914)
Pd (0.500, 0.914, 0.251)



Record 5
Theoretical powder diffraction line list
Compound: Nd3TlCd2AgIr2
Radiation: Cu Ka
Structure: a PBE-relaxed structure
No peak broadening, texture or thermal motion is included.

Main lines, in order of rising 2θ (2θ from 10° to 90°):
2theta  d_spacing  I/Imax
32.08  2.790  97
34.76  2.581  100
34.93  2.569  19
35.09  2.557  32
39.85  2.262  29
40.04  2.252  17
41.98  2.152  23
45.57  1.991  27
58.71  1.573  15
62.11  1.495  16
64.14  1.452  12
64.43  1.446  23

Crystal structure
Cell: 3.982 7.812 7.812 Å, 119.69 90.00 90.00°
Element x y z (fractional)
Nd (0.000, 0.000, 0.000)
Nd (0.000, 0.170, 0.586)
Nd (0.000, 0.586, 0.170)
Tl (0.500, 0.325, 0.325)
Cd (0.500, 0.586, 0.848)
Cd (0.500, 0.848, 0.586)
Ag (0.000, 0.592, 0.592)
Ir (0.500, 0.250, 0.916)
Ir (0.500, 0.916, 0.250)



Record 6
Theoretical powder diffraction line list
Compound: KMg2Sc2CdAg2
Radiation: Cu Ka
Structure: a PBE-relaxed structure
No peak broadening, texture or thermal motion is included.

Main lines, in order of rising 2θ (2θ from 10° to 90°):
2theta  d_spacing  I/Imax
11.46  7.720  14
21.68  4.099  8
23.04  3.860  17
26.05  3.421  24
35.05  2.560  100
37.17  2.419  44
44.19  2.050  12
47.09  1.930  9
53.58  1.710  14
61.46  1.509  16
65.65  1.422  29
74.06  1.280  9

Crystal structure
Cell: 4.838 4.838 7.720 Å, 90.00 90.00 90.00°
Element x y z (fractional)
K (0.000, 0.000, 0.000)
Mg (0.000, 0.500, 0.719)
Mg (0.500, 0.000, 0.281)
Sc (0.000, 0.500, 0.280)
Sc (0.500, 0.000, 0.720)
Cd (0.500, 0.500, 0.500)
Ag (0.000, 0.000, 0.500)
Ag (0.500, 0.500, 0.000)



Record 7
Theoretical powder diffraction line list
Compound: La2Cd4AgPt
Radiation: Cu Ka
Structure: a PBE-relaxed structure
No peak broadening, texture or thermal motion is included.

Main lines, in order of rising 2θ (2θ from 10° to 90°):
2theta  d_spacing  I/Imax
30.58  2.923  100
33.10  2.706  17
34.82  2.577  86
36.43  2.466  24
36.56  2.457  29
38.98  2.311  41
39.57  2.278  27
40.89  2.207  42
41.14  2.194  23
55.96  1.643  30
65.17  1.432  21
67.21  1.393  17

Crystal structure
Cell: 8.435 4.414 10.276 Å, 90.00 90.00 90.00°
Element x y z (fractional)
La (0.000, 0.000, 0.000)
La (0.000, 0.500, 0.500)
La (0.500, 0.000, 0.133)
La (0.500, 0.500, 0.633)
Cd (0.197, 0.000, 0.709)
Cd (0.197, 0.500, 0.209)
Cd (0.298, 0.000, 0.427)
Cd (0.298, 0.500, 0.927)
Cd (0.702, 0.000, 0.427)
Cd (0.702, 0.500, 0.927)
Cd (0.803, 0.000, 0.709)
Cd (0.803, 0.500, 0.209)
Ag (0.500, 0.000, 0.842)
Ag (0.500, 0.500, 0.342)
Pt (0.000, 0.000, 0.290)
Pt (0.000, 0.500, 0.790)



Record 8
Theoretical powder diffraction line list
Compound: LiCdAg2
Radiation: Cu Ka
Structure: a PBE-relaxed structure
No peak broadening, texture or thermal motion is included.

Main lines, in order of rising 2θ (2θ from 10° to 90°):
2theta  d_spacing  I/Imax
20.84  4.263  44
23.31  3.816  16
31.46  2.843  32
37.13  2.421  100
38.93  2.313  87
42.41  2.131  68
47.66  1.908  24
58.98  1.566  12
65.68  1.422  37
72.95  1.297  25
76.39  1.247  22
82.81  1.166  11

Crystal structure
Cell: 6.264 7.632 5.818 Å, 90.00 90.00 90.00°
Element x y z (fractional)
Li (0.000, 0.250, 0.001)
Li (0.000, 0.750, 0.999)
Li (0.500, 0.250, 0.499)
Li (0.500, 0.750, 0.501)
Cd (0.000, 0.250, 0.498)
Cd (0.000, 0.750, 0.502)
Cd (0.500, 0.250, 0.002)
Cd (0.500, 0.750, 0.998)
Ag (0.250, 0.001, 0.750)
Ag (0.250, 0.499, 0.750)
Ag (0.250, 0.501, 0.250)
Ag (0.250, 0.999, 0.250)
Ag (0.750, 0.001, 0.750)
Ag (0.750, 0.499, 0.750)
Ag (0.750, 0.501, 0.250)
Ag (0.750, 0.999, 0.250)



Record 9
Theoretical powder diffraction line list
Compound: Li4Cd2AgSn
Radiation: Cu Ka
Structure: a PBE-relaxed structure
No peak broadening, texture or thermal motion is included.

Main lines, in order of rising 2θ (2θ from 10° to 90°):
2theta  d_spacing  I/Imax
23.42  3.798  100
38.61  2.332  64
38.94  2.313  32
45.36  1.999  17
45.94  1.975  33
56.24  1.636  11
61.28  1.513  13
61.75  1.502  7
69.64  1.350  11
70.30  1.339  21
75.46  1.260  7
82.77  1.166  7

Crystal structure
Cell: 4.626 4.626 6.652 Å, 90.00 90.00 90.00°
Element x y z (fractional)
Li (0.000, 0.000, 0.000)
Li (0.000, 0.500, 0.236)
Li (0.500, 0.000, 0.764)
Li (0.500, 0.500, 0.500)
Cd (0.000, 0.500, 0.761)
Cd (0.500, 0.000, 0.239)
Ag (0.500, 0.500, 0.000)
Sn (0.000, 0.000, 0.500)



Record 10
Theoretical powder diffraction line list
Compound: MgCdAg6
Radiation: Cu Ka
Structure: a PBE-relaxed structure
No peak broadening, texture or thermal motion is included.

Main lines, in order of rising 2θ (2θ from 10° to 90°):
2theta  d_spacing  I/Imax
17.29  5.129  6
25.33  3.516  5
34.99  2.565  25
37.24  2.414  27
39.80  2.265  100
52.02  1.758  15
62.75  1.481  16
68.87  1.363  19
75.29  1.262  19
76.93  1.239  14
85.80  1.132  4
89.79  1.092  3

Crystal structure
Cell: 5.923 5.923 4.829 Å, 90.00 90.00 120.00°
Element x y z (fractional)
Mg (0.000, 0.000, 0.000)
Cd (0.333, 0.667, 0.500)
Ag (0.333, 0.166, 0.500)
Ag (0.501, 0.003, 0.000)
Ag (0.501, 0.499, 0.000)
Ag (0.834, 0.166, 0.500)
Ag (0.834, 0.667, 0.500)
Ag (0.997, 0.499, 0.000)



Record 11
Theoretical powder diffraction line list
Compound: Mg2Sc2CdAg3
Radiation: Cu Ka
Structure: a PBE-relaxed structure
No peak broadening, texture or thermal motion is included.

Main lines, in order of rising 2θ (2θ from 10° to 90°):
2theta  d_spacing  I/Imax
26.04  3.422  18
26.25  3.395  35
37.31  2.410  100
37.47  2.400  49
46.20  1.965  15
53.56  1.711  8
54.02  1.697  16
60.61  1.528  6
60.93  1.521  6
67.19  1.393  16
67.49  1.388  32
79.55  1.205  10

Crystal structure
Cell: 4.801 4.801 6.844 Å, 90.00 90.00 90.00°
Element x y z (fractional)
Mg (0.000, 0.500, 0.245)
Mg (0.500, 0.000, 0.755)
Sc (0.000, 0.500, 0.757)
Sc (0.500, 0.000, 0.243)
Cd (0.000, 0.000, 0.500)
Ag (0.000, 0.000, 0.000)
Ag (0.500, 0.500, 0.000)
Ag (0.500, 0.500, 0.500)



Record 12
Theoretical powder diffraction line list
Compound: Mg2Sc2Cd3Ag
Radiation: Cu Ka
Structure: a PBE-relaxed structure
No peak broadening, texture or thermal motion is included.

Main lines, in order of rising 2θ (2θ from 10° to 90°):
2theta  d_spacing  I/Imax
25.77  3.457  36
25.97  3.431  18
36.76  2.445  51
36.91  2.436  100
45.56  1.991  15
52.97  1.729  17
53.40  1.716  8
59.86  1.545  13
66.31  1.410  33
66.59  1.404  16
78.55  1.218  10
89.72  1.093  15

Crystal structure
Cell: 4.889 4.889 6.863 Å, 90.00 90.00 90.00°
Element x y z (fractional)
Mg (0.000, 0.500, 0.243)
Mg (0.500, 0.000, 0.757)
Sc (0.000, 0.500, 0.755)
Sc (0.500, 0.000, 0.245)
Cd (0.000, 0.000, 0.000)
Cd (0.000, 0.000, 0.500)
Cd (0.500, 0.500, 0.500)
Ag (0.500, 0.500, 0.000)



Question: Number 9 is which compound?
Answer: Li4Cd2AgSn